[1]
Starting from DFT lattice parameters and positions (GGA+U), the X-ray powder pattern of Li7Mn5O12 was computed for λ = 1.5418 Å (Cu Kα).
Neutral-atom scattering factors, no anomalous dispersion.

Principal peaks in the range 10° ≤ 2θ ≤ 80°, most intense first:
| hkl | 2theta | Rel. int. |
| --- | --- | --- |
| 1 0 -1 | 18.28 | 100 |
| 1 2 1 | 41.39 | 34 |
| 1 0 -7 | 43.97 | 28 |
| 2 -2 2 | 44.34 | 28 |
| 0 2 2 | 34.39 | 16 |
| 0 2 8 | 61.97 | 16 |
| 0 0 6 | 36.19 | 12 |
| 1 -2 3 | 36.35 | 11 |
| 1 -4 1 | 62.10 | 8 |
| 3 0 3 | 62.42 | 8 |

Atomic structure:
```
data_Li7Mn5O12
_cell_length_a 5.0893
_cell_length_b 5.9917
_cell_length_c 15.0751
_cell_angle_alpha 93.96
_cell_angle_beta 96.85
_cell_angle_gamma 103.97
_space_group_name_H-M_alt 'P 1'
_space_group_IT_number 1
loop_
_space_group_symop_operation_xyz
'x,y,z'
loop_
_atom_site_label
_atom_site_type_symbol
_atom_site_fract_x
_atom_site_fract_y
_atom_site_fract_z
Li1 Li 0.0000 0.0000 0.0000
Li2 Li 0.0106 0.4905 0.0016
Li3 Li 0.1449 0.3135 0.1676
Li4 Li 0.1624 0.8312 0.1697
Li5 Li 0.3226 0.1668 0.3416
Li6 Li 0.3463 0.6773 0.3422
Li7 Li 0.4153 0.3296 0.9221
Li8 Li 0.4845 0.9817 0.5020
Li9 Li 0.5081 0.4924 0.5026
Li10 Li 0.6682 0.8278 0.6745
Li11 Li 0.6859 0.3456 0.6766
Li12 Li 0.8199 0.1686 0.8427
Li13 Li 0.8304 0.6590 0.8443
Li14 Li 0.9153 0.3295 0.4221
Mn1 Mn 0.0768 0.1556 0.5869
Mn2 Mn 0.0781 0.6502 0.5868
Mn3 Mn 0.2540 0.0048 0.7586
Mn4 Mn 0.2585 0.4972 0.7570
Mn5 Mn 0.4150 0.8294 0.9222
Mn6 Mn 0.5724 0.1618 0.0872
Mn7 Mn 0.5770 0.6544 0.0857
Mn8 Mn 0.7526 0.0089 0.2575
Mn9 Mn 0.7540 0.5033 0.2573
Mn10 Mn 0.9152 0.8294 0.4221
O1 O 0.0030 0.3113 0.2919
O2 O 0.0319 0.8529 0.3048
O3 O 0.1412 0.9858 0.8773
O4 O 0.1572 0.5287 0.8775
O5 O 0.1760 0.1291 0.4658
O6 O 0.1860 0.6703 0.4673
O7 O 0.2978 0.8069 0.0401
O8 O 0.3002 0.3167 0.0526
O9 O 0.3314 0.9661 0.6290
O10 O 0.3579 0.5086 0.6307
O11 O 0.4730 0.1511 0.2136
O12 O 0.4993 0.6932 0.2154
O13 O 0.5311 0.3420 0.7914
O14 O 0.5317 0.8510 0.8039
O15 O 0.6440 0.9880 0.3771
O16 O 0.6538 0.5294 0.3781
O17 O 0.6733 0.1292 0.9666
O18 O 0.6893 0.6728 0.9672
O19 O 0.7981 0.8062 0.5395
O20 O 0.8270 0.3478 0.5527
O21 O 0.8555 0.0085 0.1394
O22 O 0.8621 0.5132 0.1361
O23 O 0.9698 0.1463 0.7082
O24 O 0.9760 0.6511 0.7050
```

---

[2]
Starting from DFT lattice parameters and positions (GGA+U), the X-ray powder pattern of Ba2MgMo4Se4O22 was computed for λ = 1.5418 Å (Cu Kα).
Neutral-atom scattering factors, no anomalous dispersion.

Principal peaks in the range 10° ≤ 2θ ≤ 80°, most intense first:
| hkl | 2theta | Rel. int. |
| --- | --- | --- |
| 0 2 0 | 21.89 | 100 |
| 1 1 -2 | 31.29 | 85 |
| 2 0 1 | 22.07 | 69 |
| 3 -1 0 | 38.70 | 63 |
| 0 2 1 | 24.40 | 53 |
| -1 1 1 | 22.32 | 45 |
| 1 1 3 | 31.57 | 44 |
| 2 1 1 | 24.67 | 41 |
| -1 1 2 | 31.17 | 40 |
| 0 2 -1 | 24.54 | 39 |

Atomic structure:
```
data_Ba2MgMo4Se4O22
_cell_length_a 8.0581
_cell_length_b 8.1206
_cell_length_c 9.0616
_cell_angle_alpha 89.55
_cell_angle_beta 64.81
_cell_angle_gamma 89.84
_space_group_name_H-M_alt 'P 1'
_space_group_IT_number 1
loop_
_space_group_symop_operation_xyz
'x,y,z'
loop_
_atom_site_label
_atom_site_type_symbol
_atom_site_fract_x
_atom_site_fract_y
_atom_site_fract_z
Ba1 Ba 0.0000 0.0000 0.0000
Ba2 Ba 0.4539 0.5069 0.0433
Mg1 Mg 0.7127 0.1080 0.3779
Mo1 Mo 0.0643 0.4945 0.8234
Mo2 Mo 0.3656 0.0018 0.2601
Mo3 Mo 0.5879 0.0049 0.8227
Mo4 Mo 0.8466 0.5104 0.2591
Se1 Se 0.1055 0.3577 0.4539
Se2 Se 0.3447 0.8354 0.6217
Se3 Se 0.5127 0.3678 0.6208
Se4 Se 0.9412 0.8530 0.4409
O1 O 0.0488 0.5544 0.0287
O2 O 0.0628 0.0193 0.3247
O3 O 0.0750 0.2793 0.8387
O4 O 0.0877 0.5055 0.3229
O5 O 0.1372 0.7593 0.7622
O6 O 0.1866 0.4856 0.5647
O7 O 0.2619 0.9567 0.5080
O8 O 0.3099 0.2672 0.3209
O9 O 0.3467 0.7978 0.2072
O10 O 0.3687 0.9985 0.7363
O11 O 0.3713 0.5027 0.7632
O12 O 0.4244 0.0854 0.0244
O13 O 0.5515 0.7930 0.8588
O14 O 0.6002 0.2608 0.7374
O15 O 0.6064 0.0342 0.2366
O16 O 0.6646 0.5641 0.2110
O17 O 0.6965 0.4985 0.5128
O18 O 0.7341 0.9674 0.5490
O19 O 0.8013 0.0302 0.8285
O20 O 0.8381 0.5274 0.8524
O21 O 0.8676 0.2791 0.2428
O22 O 0.8808 0.7754 0.2945
```

---

[3]
Starting from DFT lattice parameters and positions (GGA+U), the X-ray powder pattern of MgCoO2 was computed for λ = 1.5418 Å (Cu Kα).
Neutral-atom scattering factors, no anomalous dispersion.

Principal peaks in the range 10° ≤ 2θ ≤ 80°, most intense first:
| hkl | 2theta | Rel. int. |
| --- | --- | --- |
| 0 1 -1 | 14.76 | 100 |
| 1 -1 1 | 34.87 | 63 |
| 0 0 3 | 32.51 | 60 |
| 1 0 -2 | 34.98 | 59 |
| 0 2 -1 | 23.62 | 58 |
| 0 2 -2 | 29.77 | 52 |
| 0 3 1 | 35.09 | 45 |
| 1 2 2 | 50.37 | 40 |
| 0 2 0 | 21.62 | 38 |
| 0 1 2 | 24.67 | 37 |

Atomic structure:
```
data_MgCoO2
_cell_length_a 2.9359
_cell_length_b 8.3396
_cell_length_c 8.3911
_cell_angle_alpha 91.69
_cell_angle_beta 99.54
_cell_angle_gamma 99.10
_space_group_name_H-M_alt 'P -1'
_space_group_IT_number 2
loop_
_space_group_symop_operation_xyz
'x,y,z'
'-x,-y,-z'
loop_
_atom_site_label
_atom_site_type_symbol
_atom_site_fract_x
_atom_site_fract_y
_atom_site_fract_z
Mg1 Mg 0.0849 0.4285 0.2205
Mg2 Mg 0.2940 0.2120 0.8761
Co1 Co 0.1106 0.8866 0.8020
Co2 Co 0.3214 0.6910 0.4484
O1 O 0.0969 0.2685 0.4016
O2 O 0.3042 0.3915 0.7226
O3 O 0.3043 0.9419 0.1752
O4 O 0.4630 0.2902 0.1036
```

---

[4]
Starting from DFT lattice parameters and positions (GGA+U), the X-ray powder pattern of Li3VSiBO7 was computed for λ = 1.5418 Å (Cu Kα).
Neutral-atom scattering factors, no anomalous dispersion.

Principal peaks in the range 10° ≤ 2θ ≤ 80°, most intense first:
| hkl | 2theta | Rel. int. |
| --- | --- | --- |
| 0 2 0 | 27.74 | 100 |
| 0 0 1 | 10.62 | 86 |
| 0 1 1 | 17.42 | 55 |
| 1 0 1 | 21.14 | 53 |
| 1 0 -1 | 19.68 | 44 |
| 1 0 -2 | 26.53 | 43 |
| 1 1 1 | 25.32 | 27 |
| 2 0 0 | 35.19 | 24 |
| 2 0 -1 | 36.02 | 20 |
| 1 1 3 | 40.70 | 19 |

Atomic structure:
```
data_Li3VSiBO7
_cell_length_a 5.1138
_cell_length_b 6.4319
_cell_length_c 8.3589
_cell_angle_alpha 90.00
_cell_angle_beta 94.56
_cell_angle_gamma 90.00
_space_group_name_H-M_alt 'P 1 21/m 1'
_space_group_IT_number 11
loop_
_space_group_symop_operation_xyz
'x,y,z'
'-x,-y,-z'
'-x,y+1/2,-z'
'x,-y+1/2,z'
loop_
_atom_site_label
_atom_site_type_symbol
_atom_site_fract_x
_atom_site_fract_y
_atom_site_fract_z
Li1 Li 0.2377 0.0055 0.2682
Li2 Li 0.2429 0.2500 0.6067
V1 V 0.2047 0.7500 0.8250
Si1 Si 0.2693 0.2500 0.9269
B1 B 0.2787 0.7500 0.5383
O1 O 0.0232 0.7500 0.5856
O2 O 0.1320 0.2500 0.0987
O3 O 0.1772 0.0551 0.8094
O4 O 0.3564 0.7500 0.3877
O5 O 0.4150 0.7500 0.0223
O6 O 0.4673 0.7500 0.6741
```

---

Q: Which formula does entry 4 have?
A: Li3VSiBO7